# 1
Diffraction record for Li5Ti2Ni5O12. The X-ray diffraction stick pattern is calculated, not measured: it uses a crystal structure in the Materials Project, relaxed with PBE+U and CuKα.
No peak broadening, texture or thermal motion is included.

Main lines, by angle (2θ = 5–70°):
18.4 deg, d 4.819, rel. 33; 20.0 deg, d 4.442, rel. 19; 21.1 deg, d 4.205, rel. 28; 23.7 deg, d 3.759, rel. 25; 27.3 deg, d 3.266, rel. 17; 37.3 deg, d 2.410, rel. 38; 43.4 deg, d 2.086, rel. 100; 43.6 deg, d 2.074, rel. 49; 63.0 deg, d 1.476, rel. 28; 63.5 deg, d 1.466, rel. 27

```
Li5Ti2Ni5O12
1.0
2.5301 -4.4424 0.0000
2.5301 4.4424 0.0000
-1.6720 0.0000 9.6385
Li Ti Ni O
5 2 5 12
direct
0.0000 0.0000 0.0000 Li
0.2534 0.2391 0.7539 Li
0.4105 0.0851 0.2441 Li
0.7609 0.7466 0.2461 Li
0.9149 0.5895 0.7559 Li
0.3296 0.6704 0.0000 Ti
0.8314 0.1686 0.5000 Ti
0.0829 0.4097 0.2454 Ni
0.1659 0.8341 0.5000 Ni
0.5006 0.4994 0.5000 Ni
0.5903 0.9171 0.7546 Ni
0.6641 0.3359 0.0000 Ni
0.0579 0.6974 0.1212 O
0.1121 0.1310 0.3803 O
0.1967 0.5296 0.6180 O
0.3026 0.9421 0.8788 O
0.3830 0.3949 0.1178 O
0.4704 0.8033 0.3820 O
0.5550 0.2010 0.6196 O
0.6051 0.6170 0.8822 O
0.6926 0.0407 0.1155 O
0.7990 0.4450 0.3804 O
0.8690 0.8879 0.6197 O
0.9593 0.3074 0.8845 O
```



# 2
Diffraction record for Ca3Mn2SbO9. The X-ray diffraction stick pattern is calculated, not measured: it uses a crystal structure in the Materials Project, relaxed with PBE+U and CuKα.
No peak broadening, texture or thermal motion is included.

Main lines, by angle (2θ = 5–70°):
22.4 deg, d 3.973, rel. 31; 23.1 deg, d 3.846, rel. 58; 32.1 deg, d 2.788, rel. 52; 32.3 deg, d 2.770, rel. 57; 32.5 deg, d 2.753, rel. 51; 32.7 deg, d 2.742, rel. 50; 32.9 deg, d 2.720, rel. 100; 45.7 deg, d 1.986, rel. 37; 47.2 deg, d 1.925, rel. 33; 47.3 deg, d 1.921, rel. 36

```
Ca3Mn2SbO9
1.0
5.5790 0.0000 0.0000
0.0419 7.6833 0.0000
0.5146 0.0540 16.4537
Ca Mn Sb O
12 8 4 36
direct
0.0384 0.2345 0.1669 Ca
0.0382 0.2491 0.4983 Ca
0.0477 0.2346 0.8352 Ca
0.4455 0.7545 0.6785 Ca
0.4457 0.7682 0.0051 Ca
0.4472 0.7558 0.3317 Ca
0.5528 0.2442 0.6683 Ca
0.5543 0.2318 0.9949 Ca
0.5545 0.2455 0.3215 Ca
0.9523 0.7654 0.1648 Ca
0.9618 0.7509 0.5017 Ca
0.9616 0.7655 0.8331 Ca
0.0000 0.0000 0.0000 Mn
0.9998 0.9998 0.3299 Mn
0.0002 0.0002 0.6701 Mn
0.0000 0.5000 0.0000 Mn
0.0030 0.4982 0.6687 Mn
0.4968 0.0010 0.1645 Mn
0.5032 0.9990 0.8355 Mn
0.9970 0.5018 0.3313 Mn
0.4941 0.4978 0.1618 Sb
0.5000 0.0000 0.5000 Sb
0.5000 0.5000 0.5000 Sb
0.5059 0.5022 0.8382 Sb
0.0305 0.7475 0.9725 O
0.0301 0.7509 0.3034 O
0.0327 0.7509 0.6416 O
0.1924 0.5459 0.0989 O
0.2031 0.9600 0.0945 O
0.2136 0.5511 0.4380 O
0.2145 0.9502 0.4347 O
0.2176 0.9639 0.7651 O
0.2194 0.5509 0.7747 O
0.2897 0.0400 0.9311 O
0.2903 0.0426 0.2627 O
0.2915 0.0521 0.5980 O
0.2929 0.4561 0.2632 O
0.2990 0.4488 0.6011 O
0.3037 0.4540 0.9399 O
0.4613 0.2454 0.1334 O
0.4648 0.2495 0.4627 O
0.4800 0.2484 0.8097 O
0.5200 0.7516 0.1903 O
0.5352 0.7505 0.5373 O
0.5387 0.7546 0.8666 O
0.6963 0.5460 0.0601 O
0.7010 0.5512 0.3989 O
0.7071 0.5439 0.7368 O
0.7085 0.9479 0.4020 O
0.7097 0.9574 0.7373 O
0.7103 0.9600 0.0689 O
0.7806 0.4491 0.2253 O
0.7824 0.0361 0.2349 O
0.7855 0.0498 0.5653 O
0.7864 0.4489 0.5620 O
0.7969 0.0400 0.9055 O
0.8076 0.4541 0.9011 O
0.9673 0.2491 0.3584 O
0.9699 0.2491 0.6966 O
0.9695 0.2525 0.0275 O
```



# 3
Diffraction record for Li2Fe3CoO8. The X-ray diffraction stick pattern is calculated, not measured: it uses a crystal structure in the Materials Project, relaxed with PBE+U and CuKα.
No peak broadening, texture or thermal motion is included.

Main lines, by angle (2θ = 5–70°):
18.0 deg, d 4.931, rel. 100; 35.6 deg, d 2.523, rel. 23; 35.8 deg, d 2.509, rel. 12; 37.3 deg, d 2.412, rel. 6; 42.9 deg, d 2.110, rel. 38; 43.4 deg, d 2.087, rel. 18; 47.1 deg, d 1.928, rel. 7; 56.3 deg, d 1.635, rel. 10; 62.2 deg, d 1.493, rel. 10; 63.0 deg, d 1.475, rel. 10

```
Li2Fe3CoO8
1.0
5.1057 -2.9546 0.0000
5.1057 2.9546 0.0000
-3.4743 0.0000 4.9306
Li Fe Co O
2 3 1 8
direct
0.0000 0.5000 0.0000 Li
0.5000 0.0000 0.0000 Li
0.0000 0.0000 0.5000 Fe
0.0000 0.5000 0.5000 Fe
0.5000 0.0000 0.5000 Fe
0.5000 0.5000 0.5000 Co
0.2307 0.2307 0.7132 O
0.2553 0.7325 0.7060 O
0.2675 0.7447 0.2940 O
0.2715 0.2715 0.2878 O
0.7285 0.7285 0.7122 O
0.7325 0.2553 0.7060 O
0.7447 0.2675 0.2940 O
0.7693 0.7693 0.2868 O
```



# 4
Diffraction record for MgV4O10. The X-ray diffraction stick pattern is calculated, not measured: it uses a crystal structure in the Materials Project, relaxed with PBE+U and CuKα.
No peak broadening, texture or thermal motion is included.

Main lines, by angle (2θ = 5–70°):
12.7 deg, d 6.943, rel. 100; 14.0 deg, d 6.323, rel. 17; 19.8 deg, d 4.480, rel. 7; 23.7 deg, d 3.752, rel. 12; 25.7 deg, d 3.464, rel. 9; 25.9 deg, d 3.439, rel. 14; 28.1 deg, d 3.171, rel. 22; 30.4 deg, d 2.941, rel. 12; 31.0 deg, d 2.882, rel. 12; 33.5 deg, d 2.675, rel. 12

```
MgV4O10
1.0
5.8749 0.0000 0.0000
1.6641 6.5025 0.0000
2.7251 1.6640 6.9431
Mg V O
1 4 10
direct
0.0000 0.0000 0.0000 Mg
0.1552 0.3181 0.5704 V
0.4291 0.7249 0.7057 V
0.5960 0.1611 0.7585 V
0.9953 0.8846 0.4907 V
0.0199 0.5805 0.5602 O
0.1912 0.7439 0.9083 O
0.2335 0.1910 0.7938 O
0.3214 0.8388 0.5095 O
0.4142 0.3000 0.3976 O
0.5498 0.4631 0.7054 O
0.6564 0.8900 0.6758 O
0.6654 0.0782 0.9661 O
0.9347 0.1591 0.5723 O
0.9945 0.9639 0.2616 O
```



# 5
Diffraction record for Ce2Mo4O15. The X-ray diffraction stick pattern is calculated, not measured: it uses a crystal structure in the Materials Project, relaxed with PBE+U and CuKα.
No peak broadening, texture or thermal motion is included.

Main lines, by angle (2θ = 5–70°):
22.8 deg, d 3.906, rel. 100; 24.0 deg, d 3.713, rel. 44; 24.4 deg, d 3.652, rel. 62; 25.2 deg, d 3.532, rel. 59; 26.9 deg, d 3.313, rel. 39; 28.1 deg, d 3.179, rel. 33; 28.7 deg, d 3.106, rel. 42; 29.8 deg, d 2.997, rel. 33; 48.3 deg, d 1.886, rel. 30; 50.8 deg, d 1.798, rel. 28

```
Ce2Mo4O15
1.0
7.5071 0.0000 0.0000
-0.7761 7.5990 0.0000
-1.2273 -0.1641 11.7161
Ce Mo O
4 8 30
direct
0.1860 0.3991 0.2693 Ce
0.2578 0.9139 0.7242 Ce
0.7422 0.0861 0.2758 Ce
0.8140 0.6009 0.7307 Ce
0.0696 0.7412 0.0230 Mo
0.2254 0.9224 0.3712 Mo
0.2719 0.4180 0.6264 Mo
0.4003 0.1666 0.0268 Mo
0.5997 0.8334 0.9732 Mo
0.7281 0.5820 0.3736 Mo
0.7746 0.0776 0.6288 Mo
0.9304 0.2588 0.9770 Mo
0.0718 0.0838 0.3176 O
0.0872 0.7589 0.8709 O
0.1258 0.5410 0.0935 O
0.1531 0.5931 0.6809 O
0.1559 0.2205 0.9473 O
0.1637 0.7060 0.3121 O
0.2075 0.3857 0.4771 O
0.2078 0.9232 0.0871 O
0.2162 0.9029 0.5214 O
0.2294 0.2095 0.6959 O
0.3482 0.2639 0.1734 O
0.4135 0.9811 0.8966 O
0.4496 0.0004 0.3465 O
0.4611 0.6676 0.0247 O
0.4948 0.5117 0.3503 O
0.5052 0.4883 0.6497 O
0.5389 0.3324 0.9753 O
0.5504 0.9996 0.6535 O
0.5865 0.0189 0.1034 O
0.6518 0.7361 0.8266 O
0.7706 0.7905 0.3041 O
0.7838 0.0971 0.4786 O
0.7922 0.0768 0.9129 O
0.7925 0.6143 0.5229 O
0.8363 0.2940 0.6879 O
0.8441 0.7795 0.0527 O
0.8469 0.4069 0.3191 O
0.8742 0.4590 0.9065 O
0.9128 0.2411 0.1291 O
0.9282 0.9162 0.6824 O
```



# 6
Diffraction record for Li2Ti3MnO8. The X-ray diffraction stick pattern is calculated, not measured: it uses a crystal structure in the Materials Project, relaxed with PBE+U and CuKα.
No peak broadening, texture or thermal motion is included.

Main lines, by angle (2θ = 5–70°):
18.0 deg, d 4.933, rel. 100; 20.8 deg, d 4.261, rel. 39; 29.6 deg, d 3.018, rel. 41; 34.9 deg, d 2.572, rel. 34; 35.0 deg, d 2.566, rel. 99; 42.4 deg, d 2.130, rel. 52; 56.0 deg, d 1.642, rel. 27; 56.1 deg, d 1.639, rel. 28; 61.4 deg, d 1.509, rel. 32; 61.7 deg, d 1.504, rel. 36

```
Li2Ti3MnO8
1.0
5.2082 -3.0074 0.0000
5.2082 3.0074 0.0000
-3.4696 0.0000 4.9377
Li Ti Mn O
2 3 1 8
direct
0.0000 0.0000 0.0000 Li
0.6178 0.6178 0.8533 Li
0.1125 0.6202 0.3527 Ti
0.6202 0.1125 0.3527 Ti
0.6201 0.6201 0.3526 Ti
0.2370 0.2370 0.7113 Mn
0.3739 0.3739 0.5706 O
0.3737 0.8230 0.5696 O
0.3780 0.3780 0.1351 O
0.4119 0.8699 0.1498 O
0.8230 0.3737 0.5696 O
0.8592 0.8592 0.5762 O
0.8689 0.8689 0.1492 O
0.8699 0.4119 0.1498 O
```



# 7
Diffraction record for Na2VS2O12. The X-ray diffraction stick pattern is calculated, not measured: it uses a crystal structure in the Materials Project, relaxed with PBE+U and CuKα.
No peak broadening, texture or thermal motion is included.

Main lines, by angle (2θ = 5–70°):
13.6 deg, d 6.525, rel. 29; 19.4 deg, d 4.565, rel. 74; 19.6 deg, d 4.531, rel. 63; 20.1 deg, d 4.413, rel. 24; 20.8 deg, d 4.264, rel. 50; 23.6 deg, d 3.771, rel. 35; 26.6 deg, d 3.356, rel. 29; 27.1 deg, d 3.290, rel. 64; 27.4 deg, d 3.250, rel. 100; 33.8 deg, d 2.655, rel. 26

```
Na2VS2O12
1.0
5.5517 0.0000 0.0000
0.0000 8.0795 0.0000
-1.8788 0.0000 11.0668
Na V S O
4 2 4 24
direct
0.0855 0.0615 0.3522 Na
0.0855 0.4385 0.8522 Na
0.9145 0.5615 0.1478 Na
0.9145 0.9385 0.6478 Na
0.0000 0.0000 0.0000 V
0.0000 0.5000 0.5000 V
0.3738 0.2215 0.6352 S
0.3738 0.2785 0.1352 S
0.6262 0.7215 0.8648 S
0.6262 0.7785 0.3648 S
0.1011 0.5170 0.3541 O
0.1011 0.9830 0.8541 O
0.1161 0.6934 0.5707 O
0.1161 0.8066 0.0707 O
0.2124 0.0968 0.5665 O
0.2124 0.4032 0.0665 O
0.3149 0.2422 0.7589 O
0.3149 0.2578 0.2589 O
0.3281 0.1105 0.0735 O
0.3281 0.3895 0.5735 O
0.3690 0.6770 0.8597 O
0.3690 0.8230 0.3597 O
0.6310 0.1770 0.6403 O
0.6310 0.3230 0.1403 O
0.6719 0.6105 0.4265 O
0.6719 0.8895 0.9265 O
0.6851 0.7422 0.7411 O
0.6851 0.7578 0.2411 O
0.7876 0.5968 0.9335 O
0.7876 0.9032 0.4335 O
0.8839 0.1934 0.9293 O
0.8839 0.3066 0.4293 O
0.8989 0.0170 0.1459 O
0.8989 0.4830 0.6459 O
```



# 8
Diffraction record for MgFe6O7F5. The X-ray diffraction stick pattern is calculated, not measured: it uses a crystal structure in the Materials Project, relaxed with PBE+U and CuKα.
No peak broadening, texture or thermal motion is included.

Main lines, by angle (2θ = 5–70°):
22.8 deg, d 3.906, rel. 100; 27.1 deg, d 3.292, rel. 82; 34.2 deg, d 2.623, rel. 27; 35.0 deg, d 2.564, rel. 39; 35.5 deg, d 2.530, rel. 18; 47.2 deg, d 1.926, rel. 16; 48.1 deg, d 1.892, rel. 20; 53.8 deg, d 1.705, rel. 16; 55.8 deg, d 1.646, rel. 17; 62.1 deg, d 1.494, rel. 19

```
MgFe6O7F5
1.0
5.0648 0.0000 0.0000
0.8736 5.0835 0.0000
0.0524 0.3740 8.9637
Mg Fe O F
1 6 7 5
direct
0.0000 0.0000 0.0000 Mg
0.1090 0.5378 0.8095 Fe
0.4825 0.0467 0.0058 Fe
0.5059 0.9611 0.6814 Fe
0.5269 0.0051 0.3285 Fe
0.9507 0.4371 0.1882 Fe
0.9748 0.4447 0.5056 Fe
0.1577 0.3301 0.9986 O
0.2087 0.2913 0.3395 O
0.2500 0.3021 0.6608 O
0.2897 0.8331 0.8474 O
0.7267 0.1643 0.1646 O
0.7861 0.6678 0.3389 O
0.8163 0.6675 0.6732 O
0.2824 0.8498 0.1688 F
0.3472 0.8358 0.5059 F
0.7236 0.1597 0.5017 F
0.7293 0.1354 0.8311 F
0.7938 0.7117 0.0131 F
```



Copy entry 3 word for word.
Diffraction record for Li2Fe3CoO8. The X-ray diffraction stick pattern is calculated, not measured: it uses a crystal structure in the Materials Project, relaxed with PBE+U and CuKα.
No peak broadening, texture or thermal motion is included.

Main lines, by angle (2θ = 5–70°):
18.0 deg, d 4.931, rel. 100; 35.6 deg, d 2.523, rel. 23; 35.8 deg, d 2.509, rel. 12; 37.3 deg, d 2.412, rel. 6; 42.9 deg, d 2.110, rel. 38; 43.4 deg, d 2.087, rel. 18; 47.1 deg, d 1.928, rel. 7; 56.3 deg, d 1.635, rel. 10; 62.2 deg, d 1.493, rel. 10; 63.0 deg, d 1.475, rel. 10

```
Li2Fe3CoO8
1.0
5.1057 -2.9546 0.0000
5.1057 2.9546 0.0000
-3.4743 0.0000 4.9306
Li Fe Co O
2 3 1 8
direct
0.0000 0.5000 0.0000 Li
0.5000 0.0000 0.0000 Li
0.0000 0.0000 0.5000 Fe
0.0000 0.5000 0.5000 Fe
0.5000 0.0000 0.5000 Fe
0.5000 0.5000 0.5000 Co
0.2307 0.2307 0.7132 O
0.2553 0.7325 0.7060 O
0.2675 0.7447 0.2940 O
0.2715 0.2715 0.2878 O
0.7285 0.7285 0.7122 O
0.7325 0.2553 0.7060 O
0.7447 0.2675 0.2940 O
0.7693 0.7693 0.2868 O
```



Question: Number 1 is which compound?
Answer: Li5Ti2Ni5O12